This entry pairs a crystal structure of CsCoSbO4 with its theoretical powder diffraction line list. Radiation: Cu Kα (weighted mean of Kα1 and Kα2). Structure: a crystal structure in Alexandria, relaxed with GGA+U.
Intensities are scaled so that the largest is 100.

Principal peaks in the range 10° ≤ 2θ ≤ 90°, low angle first:
2θ (°)	intensity	(hkl)
11.8	34	0 0 1
24.0	45	1 1 -1
26.3	100	1 1 1
28.6	54	0 1 2
31.9	45	0 2 0
35.6	33	2 1 -1

Crystal structure
```
data_CsCoSbO4
_cell_length_a 5.7986
_cell_length_b 5.6089
_cell_length_c 7.6132
_cell_angle_alpha 90.00
_cell_angle_beta 98.53
_cell_angle_gamma 90.00
_space_group_name_H-M_alt 'P 1 21/m 1'
_space_group_IT_number 11
_space_group_name_Hall '-P 2yb'
loop_
_atom_site_label
_atom_site_type_symbol
_atom_site_fract_x
_atom_site_fract_y
_atom_site_fract_z
Cs1 Cs 0.2222 0.2500 0.0843
Co1 Co 0.3882 0.2500 0.6448
Sb1 Sb 0.1534 0.7500 0.4667
O1 O 0.1168 0.0179 0.6510
O2 O 0.2856 0.7500 0.2392
O3 O 0.4844 0.7500 0.5782
```